Tb2Zr2O7: theoretical powder diffraction line list (Cu Ka), based on a PBE-relaxed structure.

Peak list (6 most intense, 10 to 90 degrees two-theta, low angle first)
2theta, d_spacing, I/Imax
29.13, 3.065, 100
34.21, 2.621, 20
48.17, 1.889, 34
49.16, 1.853, 15
56.40, 1.631, 15
58.16, 1.586, 26

Structural model:
Lattice parameters (Å, degrees): 7.414 7.414 5.451 90.00 90.00 90.00
Positions (direct):
Tb  0.000  0.250  0.000
Tb  0.000  0.750  0.000
Tb  0.250  0.000  0.500
Tb  0.750  0.000  0.500
Zr  0.223  0.500  0.500
Zr  0.500  0.223  0.000
Zr  0.500  0.777  0.000
Zr  0.777  0.500  0.500
O  0.000  0.000  0.250
O  0.000  0.000  0.750
O  0.000  0.500  0.267
O  0.000  0.500  0.733
O  0.287  0.287  0.250
O  0.287  0.287  0.750
O  0.287  0.713  0.250
O  0.287  0.713  0.750
O  0.500  0.000  0.233
O  0.500  0.000  0.767
O  0.713  0.287  0.250
O  0.713  0.287  0.750
O  0.713  0.713  0.250
O  0.713  0.713  0.750